Starting from a GGA-PBE-relaxed structure, the powder X-ray diffraction pattern of La3Pm8Er was calculated for Cu Kα.

Structure:
a b c (Å): 8.536 8.536 8.536
angles (deg): 117.16 117.16 95.00
Positions (direct):
La  0.000  0.000  0.000
La  0.250  0.750  0.500
La  0.750  0.250  0.500
Pm  0.130  0.130  0.756
Pm  0.246  0.741  0.000
Pm  0.259  0.259  0.505
Pm  0.374  0.374  0.244
Pm  0.626  0.870  0.000
Pm  0.741  0.246  0.000
Pm  0.754  0.754  0.495
Pm  0.870  0.626  0.000
Er  0.500  0.500  0.000

Most intense lines, 2θ = 5–70°, by intensity:
- 35.5 deg, I 100.0
- 28.4 deg, I 83.0
- 31.0 deg, I 73.8
- 43.6 deg, I 69.8
- 23.6 deg, I 64.2
- 32.4 deg, I 61.7

***

Starting from a GGA-PBE-relaxed structure, the powder X-ray diffraction pattern of Al2O3 was calculated for Cu Kα.

Structure:
a b c (Å): 5.657 5.657 12.413
angles (deg): 102.39 102.39 89.91
Positions (direct):
Al  0.000  0.000  0.000
Al  0.000  0.000  0.500
Al  0.124  0.876  0.750
Al  0.170  0.651  0.340
Al  0.191  0.464  0.918
Al  0.321  0.349  0.658
Al  0.349  0.321  0.158
Al  0.349  0.830  0.160
Al  0.464  0.191  0.418
Al  0.536  0.809  0.582
Al  0.651  0.170  0.840
Al  0.651  0.679  0.842
Al  0.679  0.651  0.342
Al  0.809  0.536  0.082
Al  0.830  0.349  0.660
Al  0.876  0.124  0.250
O  0.078  0.103  0.664
O  0.084  0.569  0.676
O  0.103  0.078  0.164
O  0.116  0.584  0.175
O  0.232  0.249  0.004
O  0.233  0.758  0.005
O  0.242  0.767  0.495
O  0.249  0.232  0.504
O  0.416  0.884  0.325
O  0.419  0.422  0.331
O  0.422  0.419  0.831
O  0.431  0.916  0.824
O  0.569  0.084  0.176
O  0.578  0.581  0.169
O  0.581  0.578  0.669
O  0.584  0.116  0.675
O  0.751  0.768  0.496
O  0.758  0.233  0.505
O  0.767  0.242  0.995
O  0.768  0.751  0.996
O  0.884  0.416  0.825
O  0.897  0.922  0.836
O  0.916  0.431  0.324
O  0.922  0.897  0.336

Most intense lines, 2θ = 5–70°, by intensity:
- 37.5 deg, I 100.0
- 45.3 deg, I 84.4
- 66.1 deg, I 62.5
- 66.6 deg, I 60.2
- 37.1 deg, I 47.8
- 46.0 deg, I 40.7

***

Starting from a GGA-PBE-relaxed structure, the powder X-ray diffraction pattern of KCd2PtAu was calculated for Cu Kα.

Structure:
a b c (Å): 5.248 5.248 5.325
angles (deg): 90.00 90.00 90.00
Positions (direct):
K  0.000  0.000  0.000
Cd  0.000  0.500  0.500
Cd  0.500  0.000  0.500
Pt  0.500  0.500  0.500
Au  0.500  0.500  0.000

Most intense lines, 2θ = 5–70°, by intensity:
- 16.9 deg, I 100.0
- 34.2 deg, I 66.8
- 48.7 deg, I 48.7
- 29.3 deg, I 35.7
- 33.7 deg, I 34.8
- 37.9 deg, I 28.4

***

Starting from a GGA-PBE-relaxed structure, the powder X-ray diffraction pattern of Er3MgTl4 was calculated for Cu Kα.

Structure:
a b c (Å): 10.125 10.125 10.125
angles (deg): 160.29 140.72 44.32
Positions (direct):
Er  0.000  0.000  0.000
Er  0.269  0.769  0.500
Er  0.731  0.231  0.500
Mg  0.500  0.500  0.000
Tl  0.112  0.377  0.735
Tl  0.358  0.623  0.735
Tl  0.642  0.377  0.265
Tl  0.888  0.623  0.265

Most intense lines, 2θ = 5–70°, by intensity:
- 32.5 deg, I 100.0
- 37.3 deg, I 47.4
- 35.3 deg, I 43.3
- 30.5 deg, I 38.5
- 63.4 deg, I 30.0
- 38.4 deg, I 27.3

***

Starting from a GGA-PBE-relaxed structure, the powder X-ray diffraction pattern of Pr3Sn2Pt7 was calculated for Cu Kα.

Structure:
a b c (Å): 15.198 15.198 15.198
angles (deg): 164.20 164.20 22.41
Positions (direct):
Pr  0.000  0.000  0.000
Pr  0.182  0.182  0.000
Pr  0.818  0.818  0.000
Sn  0.373  0.373  0.000
Sn  0.627  0.627  0.000
Pt  0.073  0.573  0.500
Pt  0.282  0.282  0.000
Pt  0.427  0.927  0.500
Pt  0.500  0.500  0.000
Pt  0.573  0.073  0.500
Pt  0.718  0.718  0.000
Pt  0.927  0.427  0.500

Most intense lines, 2θ = 5–70°, by intensity:
- 35.4 deg, I 100.0
- 43.3 deg, I 84.5
- 5.9 deg, I 63.8
- 38.9 deg, I 50.6
- 30.9 deg, I 47.7
- 34.6 deg, I 44.3

***

Starting from a GGA-PBE-relaxed structure, the powder X-ray diffraction pattern of Nb6RuRh8 was calculated for Cu Kα.

Structure:
a b c (Å): 6.904 6.904 6.904
angles (deg): 63.39 63.39 63.39
Positions (direct):
Nb  0.121  0.379  0.851
Nb  0.149  0.879  0.621
Nb  0.379  0.851  0.121
Nb  0.621  0.149  0.879
Nb  0.851  0.121  0.379
Nb  0.879  0.621  0.149
Ru  0.500  0.500  0.500
Rh  0.094  0.664  0.371
Rh  0.239  0.239  0.239
Rh  0.336  0.629  0.906
Rh  0.371  0.094  0.664
Rh  0.629  0.906  0.336
Rh  0.664  0.371  0.094
Rh  0.761  0.761  0.761
Rh  0.906  0.336  0.629

Most intense lines, 2θ = 5–70°, by intensity:
- 41.3 deg, I 100.0
- 43.2 deg, I 62.8
- 39.5 deg, I 56.2
- 36.0 deg, I 40.6
- 44.0 deg, I 33.0
- 65.8 deg, I 17.8